This entry pairs a crystal structure of BaAlVCuO5 with its simulated PXRD pattern. Radiation: copper Kα. Structure: a DFT-relaxed cell (PBE+U, Alexandria).

The 6 most intense peaks (10° ≤ 2θ ≤ 80°), sorted by position:
Position (°2θ)	intensity	index
29.66	100	0 1 2
33.31	77	1 0 2
36.15	45	1 1 0
37.39	35	0 0 4
47.03	31	0 2 0
52.99	31	1 1 4

Structural model:
```
data_BaAlVCuO5
_space_group_name_H-M_alt 'P m m 2'
_space_group_IT_number 25
_cell_length_a 3.2449
_cell_length_b 3.8643
_cell_length_c 9.6176
_cell_angle_alpha 90.00
_cell_angle_beta 90.00
_cell_angle_gamma 90.00
loop_
_space_group_symop_operation_xyz
'x,y,z'
'-x,-y,z'
'-x,y,z'
'x,-y,z'
loop_
_atom_site_label
_atom_site_type_symbol
_atom_site_fract_x
_atom_site_fract_y
_atom_site_fract_z
Ba1 Ba 0.0000 0.0000 0.0000
Al1 Al 0.0000 0.0000 0.4940
V1 V 0.5000 0.5000 0.3082
Cu1 Cu 0.5000 0.5000 0.7292
O1 O 0.0000 0.5000 0.4283
O2 O 0.0000 0.5000 0.8275
O3 O 0.5000 0.0000 0.3323
O4 O 0.5000 0.0000 0.5926
O5 O 0.5000 0.5000 0.1212
```